LaGePRh3: simulated PXRD pattern (Cu Kα X-rays), based on DFT lattice parameters and positions (GGA-PBE).
Neutral-atom scattering factors, no anomalous dispersion.

Structural model:
```
LaGePRh3
1.0
2.861 -7.276 0.000
2.861 7.276 0.000
0.000 0.000 5.700
La Ge P Rh
2 2 2 6
Direct
0.220 0.780 0.750
0.780 0.220 0.250
0.404 0.596 0.250
0.596 0.404 0.750
0.080 0.920 0.250
0.920 0.080 0.750
0.236 0.764 0.250
0.245 0.245 0.000
0.245 0.245 0.500
0.755 0.755 0.000
0.755 0.755 0.500
0.764 0.236 0.750
```

The 10 most intense peaks (2θ = 10–90°), in order of rising 2θ:
24.47 deg, 3.638 Å, intensity 84
28.77 deg, 3.104 Å, intensity 26
33.66 deg, 2.663 Å, intensity 100
33.78 deg, 2.654 Å, intensity 99
34.58 deg, 2.594 Å, intensity 26
44.89 deg, 2.019 Å, intensity 87
49.30 deg, 1.849 Å, intensity 95
51.78 deg, 1.765 Å, intensity 42
75.49 deg, 1.259 Å, intensity 22
75.69 deg, 1.257 Å, intensity 20